# Pr2CdH6Ru
Computed powder X-ray diffraction pattern, a wavelength of 1.5418 Å. Input: a cell relaxed with GGA-PBE.
Lines closer than 0.1° are merged.

Largest 8 diffraction maxima, in order of rising 2θ, 10 to 90 degrees two-theta:
- 25.12 deg, I = 92.2, hkl 1 0 1
- 33.31 deg, I = 100.0, hkl 0 1 2
- 38.20 deg, I = 65.6, hkl 1 1 0
- 43.98 deg, I = 16.1, hkl 1 0 3
- 46.27 deg, I = 18.8, hkl 0 2 1
- 51.57 deg, I = 28.8, hkl 2 0 2
- 65.53 deg, I = 17.7, hkl 1 1 4
- 65.95 deg, I = 26.7, hkl 1 2 2

Crystal structure
a b c (Å): 4.7123 4.7123 7.1536
angles (deg): 90.00 90.00 120.00
Space group P-3m1 (No. 164)
Symmetry-distinct sites (fractional):
Pr (0.3333, 0.6667, 0.2170) [2 per cell]
Cd (0.0000, 0.0000, 0.5000) [1 per cell]
H (0.1752, 0.3505, 0.8677) [6 per cell]
Ru (0.0000, 0.0000, 0.0000) [1 per cell]

# Cd2H3Pt3
Computed powder X-ray diffraction pattern, a wavelength of 1.5418 Å. Input: a cell relaxed with GGA-PBE.
Lines closer than 0.1° are merged.

Largest 8 diffraction maxima, in order of rising 2θ, 10 to 90 degrees two-theta:
- 18.85 deg, I = 31.4, hkl 1 0 1
- 25.59 deg, I = 72.0, hkl 1 1 0
- 35.78 deg, I = 54.2, hkl 0 0 3
- 38.24 deg, I = 26.1, hkl 2 0 2
- 41.39 deg, I = 100.0, hkl 2 1 1
- 44.50 deg, I = 33.3, hkl 1 1 3
- 46.58 deg, I = 85.2, hkl 1 2 2
- 82.83 deg, I = 26.3, hkl 4 1 3

Crystal structure
a b c (Å): 6.9631 6.9631 7.5296
angles (deg): 90.00 90.00 120.00
Space group R32 (No. 155, hexagonal axes)
Symmetry-distinct sites (fractional):
Cd (0.0000, 0.0000, 0.1887) [6 per cell]
H (0.0000, 0.7616, 0.0000) [9 per cell]
Pt (0.0000, 0.2275, 0.5000) [9 per cell]